Diffraction record for EuHo2S4. The powder diffractogram is computed, not measured: it uses a PBE-relaxed structure and CuKα.
Neutral-atom scattering factors, no anomalous dispersion.

Principal peaks in the range 15 to 90 degrees two-theta, sorted by position:
two_theta, Rel. int., index
25.06, 42, 0 0 4
25.73, 100, 3 0 2
26.85, 65, 1 1 2
27.06, 35, 2 1 0
37.24, 54, 2 1 4
45.83, 39, 0 2 0

Crystal structure
abc: 11.894 3.958 14.213
angles: 90.00 90.00 90.00
Space group Pnma (No. 62)
One atom of each set of equivalent atoms:
Eu 0.242 0.250 0.162 (multiplicity 4)
Ho 0.067 0.250 0.390 (multiplicity 4)
Ho 0.081 0.250 0.900 (multiplicity 4)
S 0.023 0.750 0.784 (multiplicity 4)
S 0.088 0.250 0.579 (multiplicity 4)
S 0.132 0.750 0.029 (multiplicity 4)
S 0.207 0.750 0.323 (multiplicity 4)